(1)
# BaH2Cl2O
Simulated X-ray diffraction stick pattern, a wavelength of 1.5418 Å. Input: DFT lattice parameters and positions (GGA-PBE).
No peak broadening, texture or thermal motion is included.

Principal peaks in the range 10° ≤ 2θ ≤ 90°, sorted by position:
- 2θ 12.57, rel. 342
- 2θ 15.92, rel. 549
- 2θ 21.11, rel. 583
- 2θ 22.91, rel. 741
- 2θ 28.60, rel. 899
- 2θ 31.10, rel. 326
- 2θ 35.35, rel. 325
- 2θ 36.75, rel. 1000
- 2θ 37.65, rel. 491
- 2θ 38.72, rel. 380

```
BaH2Cl2O
1.0
11.1367 0.0000 0.0000
0.0000 4.6514 0.0000
0.0000 0.0000 9.0929
Ba H Cl O
4 8 8 4
Direct
0.1871 0.2500 0.1065 Ba
0.3129 0.7500 0.6065 Ba
0.6871 0.2500 0.3935 Ba
0.8129 0.7500 0.8935 Ba
0.0982 0.2500 0.6644 H
0.1307 0.2500 0.5005 H
0.3693 0.7500 0.0005 H
0.4018 0.7500 0.1644 H
0.5982 0.2500 0.8356 H
0.6307 0.2500 0.9995 H
0.8693 0.7500 0.4995 H
0.9018 0.7500 0.3356 H
0.1021 0.7500 0.8773 Cl
0.1184 0.7500 0.3371 Cl
0.3816 0.2500 0.8371 Cl
0.3979 0.2500 0.3773 Cl
0.6021 0.7500 0.6227 Cl
0.6184 0.7500 0.1629 Cl
0.8816 0.2500 0.6629 Cl
0.8979 0.2500 0.1227 Cl
0.1676 0.2500 0.5983 O
0.3324 0.7500 0.0983 O
0.6676 0.2500 0.9017 O
0.8324 0.7500 0.4017 O
```

---

(2)
# LiTeH12N4
Simulated X-ray diffraction stick pattern, a wavelength of 1.5418 Å. Input: DFT lattice parameters and positions (GGA-PBE).
No peak broadening, texture or thermal motion is included.

Principal peaks in the range 10° ≤ 2θ ≤ 90°, sorted by position:
- 2θ 12.38, rel. 1000
- 2θ 14.22, rel. 817
- 2θ 17.49, rel. 678
- 2θ 19.17, rel. 561
- 2θ 20.20, rel. 698
- 2θ 29.24, rel. 517
- 2θ 29.59, rel. 548
- 2θ 29.89, rel. 624
- 2θ 30.54, rel. 548
- 2θ 31.55, rel. 550

```
LiTeH12N4
1.0
6.8585 0.0000 0.0000
0.3974 7.3453 0.0000
3.4187 1.8167 7.7327
Li Te H N
2 2 24 8
Direct
0.1998 0.4043 0.2233 Li
0.8002 0.5957 0.7767 Li
0.3667 0.0445 0.6574 Te
0.6333 0.9555 0.3426 Te
0.0034 0.7177 0.1878 H
0.0069 0.6287 0.0313 H
0.0321 0.2153 0.5344 H
0.1183 0.0992 0.1514 H
0.1269 0.6096 0.4740 H
0.1437 0.7895 0.5519 H
0.2159 0.7451 0.0059 H
0.3332 0.1859 0.9794 H
0.3527 0.0923 0.1650 H
0.4020 0.5122 0.8480 H
0.4635 0.6037 0.2990 H
0.4805 0.3744 0.3546 H
0.5195 0.6256 0.6454 H
0.5365 0.3963 0.7010 H
0.5980 0.4878 0.1520 H
0.6473 0.9077 0.8350 H
0.6668 0.8141 0.0206 H
0.7841 0.2549 0.9941 H
0.8563 0.2105 0.4481 H
0.8731 0.3904 0.5260 H
0.8817 0.9008 0.8486 H
0.9679 0.7847 0.4656 H
0.9931 0.3713 0.9687 H
0.9966 0.2823 0.8122 H
0.0381 0.7038 0.5417 N
0.0986 0.6490 0.0951 N
0.2587 0.1740 0.1107 N
0.4624 0.4809 0.2613 N
0.5376 0.5191 0.7387 N
0.7413 0.8260 0.8893 N
0.9014 0.3510 0.9049 N
0.9619 0.2962 0.4583 N
```

---

(3)
# YMg2
Simulated X-ray diffraction stick pattern, a wavelength of 1.5418 Å. Input: DFT lattice parameters and positions (GGA-PBE).
No peak broadening, texture or thermal motion is included.

Principal peaks in the range 10° ≤ 2θ ≤ 90°, sorted by position:
- 2θ 17.00, rel. 263
- 2θ 17.29, rel. 166
- 2θ 24.34, rel. 190
- 2θ 30.18, rel. 377
- 2θ 34.39, rel. 216
- 2θ 34.84, rel. 1000
- 2θ 46.39, rel. 222
- 2θ 53.61, rel. 173
- 2θ 61.88, rel. 178
- 2θ 65.25, rel. 186

```
YMg2
1.0
5.9224 0.0000 0.0000
-2.9612 5.1290 0.0000
0.0000 0.0000 5.2160
Y Mg
2 4
Direct
0.3333 0.6667 0.0000 Y
0.6667 0.3333 0.0000 Y
0.0000 0.0000 0.0000 Mg
0.0000 0.6808 0.5000 Mg
0.3192 0.3192 0.5000 Mg
0.6808 0.0000 0.5000 Mg
```

---

(4)
# YCu2Ge2
Simulated X-ray diffraction stick pattern, a wavelength of 1.5418 Å. Input: DFT lattice parameters and positions (GGA-PBE).
No peak broadening, texture or thermal motion is included.

Principal peaks in the range 10° ≤ 2θ ≤ 90°, sorted by position:
- 2θ 34.08, rel. 673
- 2θ 35.79, rel. 1000
- 2θ 44.72, rel. 657
- 2θ 47.27, rel. 300
- 2θ 49.34, rel. 315
- 2θ 57.39, rel. 291
- 2θ 65.09, rel. 203
- 2θ 68.77, rel. 226
- 2θ 76.56, rel. 193
- 2θ 89.79, rel. 162

```
YCu2Ge2
1.0
-2.0267 2.0267 5.1868
2.0267 -2.0267 5.1868
2.0267 2.0267 -5.1868
Y Cu Ge
1 2 2
Direct
0.0000 0.0000 0.0000 Y
0.2500 0.7500 0.5000 Cu
0.7500 0.2500 0.5000 Cu
0.3809 0.3809 0.0000 Ge
0.6191 0.6191 0.0000 Ge
```

---

(5)
# EuY2O4
Simulated X-ray diffraction stick pattern, a wavelength of 1.5418 Å. Input: DFT lattice parameters and positions (GGA-PBE).
No peak broadening, texture or thermal motion is included.

Principal peaks in the range 10° ≤ 2θ ≤ 90°, sorted by position:
- 2θ 25.66, rel. 473
- 2θ 30.19, rel. 1000
- 2θ 31.57, rel. 106
- 2θ 45.25, rel. 195
- 2θ 48.16, rel. 407
- 2θ 52.74, rel. 394
- 2θ 61.98, rel. 129
- 2θ 71.97, rel. 108
- 2θ 74.19, rel. 212
- 2θ 85.69, rel. 125

```
EuY2O4
1.0
0.0000 4.9091 4.9091
4.9091 0.0000 4.9091
4.9091 4.9091 0.0000
Eu Y O
2 4 8
Direct
0.1250 0.1250 0.1250 Eu
0.8750 0.8750 0.8750 Eu
0.0000 0.5000 0.5000 Y
0.5000 0.0000 0.5000 Y
0.5000 0.5000 0.0000 Y
0.5000 0.5000 0.5000 Y
0.2654 0.2654 0.2654 O
0.2654 0.2654 0.7039 O
0.2654 0.7039 0.2654 O
0.2961 0.7346 0.7346 O
0.7039 0.2654 0.2654 O
0.7346 0.2961 0.7346 O
0.7346 0.7346 0.2961 O
0.7346 0.7346 0.7346 O
```

---

(6)
# Bi2Te2S
Simulated X-ray diffraction stick pattern, a wavelength of 1.5418 Å. Input: DFT lattice parameters and positions (GGA-PBE).
No peak broadening, texture or thermal motion is included.

Principal peaks in the range 10° ≤ 2θ ≤ 90°, sorted by position:
- 2θ 16.65, rel. 245
- 2θ 24.10, rel. 213
- 2θ 27.77, rel. 1000
- 2θ 31.03, rel. 170
- 2θ 32.92, rel. 298
- 2θ 37.11, rel. 174
- 2θ 42.10, rel. 434
- 2θ 44.19, rel. 309
- 2θ 51.19, rel. 187
- 2θ 68.63, rel. 205

```
Bi2Te2S
1.0
2.1462 1.2391 10.6466
-2.1462 1.2391 10.6466
0.0000 -2.4782 10.6466
Bi Te S
2 2 1
Direct
0.1121 0.1121 0.1121 Bi
0.8879 0.8879 0.8879 Bi
0.2773 0.2773 0.2773 Te
0.7227 0.7227 0.7227 Te
0.5000 0.5000 0.5000 S
```

---

(7)
# SbSeO5
Simulated X-ray diffraction stick pattern, a wavelength of 1.5418 Å. Input: DFT lattice parameters and positions (GGA-PBE).
No peak broadening, texture or thermal motion is included.

Principal peaks in the range 10° ≤ 2θ ≤ 90°, sorted by position:
- 2θ 13.08, rel. 1000
- 2θ 21.40, rel. 376
- 2θ 24.72, rel. 259
- 2θ 25.59, rel. 180
- 2θ 26.54, rel. 310
- 2θ 27.16, rel. 391
- 2θ 32.05, rel. 172
- 2θ 33.56, rel. 190
- 2θ 34.18, rel. 170
- 2θ 43.59, rel. 261

```
SbSeO5
1.0
5.2591 0.0000 0.0000
0.0000 9.2854 0.0000
0.0000 0.0000 9.8878
Sb Se O
4 4 20
Direct
0.1213 0.1597 0.4045 Sb
0.3787 0.8403 0.9045 Sb
0.6213 0.3403 0.5955 Sb
0.8787 0.6597 0.0955 Sb
0.1053 0.5235 0.7900 Se
0.3947 0.4765 0.2900 Se
0.6053 0.9765 0.2100 Se
0.8947 0.0235 0.7100 Se
0.0450 0.5042 0.9603 O
0.0843 0.8212 0.0260 O
0.1664 0.0159 0.8023 O
0.1826 0.6056 0.2473 O
0.2209 0.6935 0.7589 O
0.2791 0.3065 0.2589 O
0.3174 0.3944 0.7473 O
0.3336 0.9841 0.3023 O
0.4157 0.1788 0.5260 O
0.4550 0.4958 0.4603 O
0.5450 0.9958 0.0397 O
0.5843 0.6788 0.9740 O
0.6664 0.4841 0.1977 O
0.6826 0.8944 0.7527 O
0.7209 0.8065 0.2411 O
0.7791 0.1935 0.7411 O
0.8174 0.1056 0.2527 O
0.8336 0.5159 0.6977 O
0.9157 0.3212 0.4740 O
0.9550 0.0042 0.5397 O
```

---

(8)
# NaMg2S3O12
Simulated X-ray diffraction stick pattern, a wavelength of 1.5418 Å. Input: DFT lattice parameters and positions (GGA-PBE).
No peak broadening, texture or thermal motion is included.

Principal peaks in the range 10° ≤ 2θ ≤ 90°, sorted by position:
- 2θ 14.15, rel. 66
- 2θ 23.62, rel. 1000
- 2θ 23.80, rel. 488
- 2θ 31.40, rel. 242
- 2θ 31.57, rel. 148
- 2θ 31.76, rel. 53
- 2θ 36.01, rel. 75
- 2θ 41.51, rel. 59
- 2θ 48.31, rel. 136
- 2θ 65.55, rel. 54

```
NaMg2S3O12
1.0
7.5569 -4.3060 0.0000
7.5569 4.3060 0.0000
-5.0435 0.0000 7.5399
Na Mg S O
2 4 6 24
Direct
0.0000 0.5000 0.0000 Na
0.5000 0.0000 0.5000 Na
0.1455 0.6548 0.4472 Mg
0.3452 0.8545 0.0528 Mg
0.6548 0.1455 0.9472 Mg
0.8545 0.3452 0.5528 Mg
0.0519 0.9481 0.2500 S
0.2472 0.4628 0.7510 S
0.4628 0.2472 0.2510 S
0.5372 0.7528 0.7490 S
0.7528 0.5372 0.2490 S
0.9481 0.0519 0.7500 S
0.0188 0.1030 0.4120 O
0.0768 0.7678 0.2563 O
0.0818 0.4346 0.7314 O
0.1030 0.0188 0.9120 O
0.2179 0.4961 0.5937 O
0.2322 0.9232 0.2437 O
0.2768 0.6196 0.9140 O
0.2836 0.4114 0.2646 O
0.3804 0.7232 0.5860 O
0.4114 0.2836 0.7646 O
0.4346 0.0818 0.2314 O
0.4961 0.2179 0.0937 O
0.5039 0.7821 0.9063 O
0.5654 0.9182 0.7686 O
0.5886 0.7164 0.2354 O
0.6196 0.2768 0.4140 O
0.7164 0.5886 0.7354 O
0.7232 0.3804 0.0860 O
0.7678 0.0768 0.7563 O
0.7821 0.5039 0.4063 O
0.8970 0.9812 0.0880 O
0.9182 0.5654 0.2686 O
0.9232 0.2322 0.7437 O
0.9812 0.8970 0.5880 O
```

---

(9)
# La2IrPd
Simulated X-ray diffraction stick pattern, a wavelength of 1.5418 Å. Input: DFT lattice parameters and positions (GGA-PBE).
No peak broadening, texture or thermal motion is included.

Principal peaks in the range 10° ≤ 2θ ≤ 90°, sorted by position:
- 2θ 21.17, rel. 44
- 2θ 34.92, rel. 1000
- 2θ 41.20, rel. 26
- 2θ 50.21, rel. 179
- 2θ 55.08, rel. 12
- 2θ 62.62, rel. 367
- 2θ 66.90, rel. 9
- 2θ 73.75, rel. 113
- 2θ 77.74, rel. 9
- 2θ 84.27, rel. 161

```
La2IrPd
1.0
0.0000 3.6338 3.6338
3.6338 0.0000 3.6338
3.6338 3.6338 0.0000
La Ir Pd
2 1 1
Direct
0.2500 0.2500 0.2500 La
0.7500 0.7500 0.7500 La
0.0000 0.0000 0.0000 Ir
0.5000 0.5000 0.5000 Pd
```

---

(10)
# La2Fe2S5
Simulated X-ray diffraction stick pattern, a wavelength of 1.5418 Å. Input: DFT lattice parameters and positions (GGA-PBE).
No peak broadening, texture or thermal motion is included.

Principal peaks in the range 10° ≤ 2θ ≤ 90°, sorted by position:
- 2θ 21.46, rel. 533
- 2θ 25.97, rel. 756
- 2θ 28.01, rel. 384
- 2θ 31.98, rel. 284
- 2θ 33.24, rel. 1000
- 2θ 33.42, rel. 319
- 2θ 38.84, rel. 730
- 2θ 45.76, rel. 357
- 2θ 49.23, rel. 283
- 2θ 53.38, rel. 266

```
La2Fe2S5
1.0
1.9827 -8.2814 0.0000
1.9827 8.2814 0.0000
0.0000 0.0000 11.3080
La Fe S
4 4 10
Direct
0.1211 0.8789 0.5000 La
0.1231 0.8769 0.8816 La
0.8769 0.1231 0.3816 La
0.8789 0.1211 0.0000 La
0.1955 0.8045 0.2029 Fe
0.4146 0.5854 0.6653 Fe
0.5854 0.4146 0.1653 Fe
0.8045 0.1955 0.7029 Fe
0.0417 0.9583 0.2503 S
0.3002 0.6998 0.5451 S
0.3011 0.6989 0.8461 S
0.3454 0.6546 0.1942 S
0.4903 0.5097 0.4853 S
0.5097 0.4903 0.9853 S
0.6546 0.3454 0.6942 S
0.6989 0.3011 0.3461 S
0.6998 0.3002 0.0451 S
0.9583 0.0417 0.7503 S
```

---

(11)
# SmYNi2
Simulated X-ray diffraction stick pattern, a wavelength of 1.5418 Å. Input: DFT lattice parameters and positions (GGA-PBE).
No peak broadening, texture or thermal motion is included.

Principal peaks in the range 10° ≤ 2θ ≤ 90°, sorted by position:
- 2θ 27.48, rel. 246
- 2θ 33.03, rel. 1000
- 2θ 34.50, rel. 230
- 2θ 34.98, rel. 429
- 2θ 40.95, rel. 238
- 2θ 41.37, rel. 535
- 2θ 43.58, rel. 264
- 2θ 47.71, rel. 201
- 2θ 57.06, rel. 206
- 2θ 84.02, rel. 147

```
SmYNi2
1.0
4.1538 0.0000 0.0000
0.0000 1.9063 5.2000
0.0000 -1.9063 5.2000
Sm Y Ni
1 1 2
Direct
0.0000 0.0000 0.0000 Sm
0.5000 0.2810 0.2810 Y
0.0000 0.7126 0.7126 Ni
0.5000 0.5720 0.5720 Ni
```

---

(12)
# NaAcAu2
Simulated X-ray diffraction stick pattern, a wavelength of 1.5418 Å. Input: DFT lattice parameters and positions (GGA-PBE).
No peak broadening, texture or thermal motion is included.

Principal peaks in the range 10° ≤ 2θ ≤ 90°, sorted by position:
- 2θ 20.46, rel. 210
- 2θ 23.67, rel. 66
- 2θ 33.73, rel. 1000
- 2θ 39.77, rel. 120
- 2θ 48.44, rel. 184
- 2θ 53.11, rel. 54
- 2θ 60.32, rel. 384
- 2θ 64.41, rel. 41
- 2θ 70.92, rel. 120
- 2θ 80.88, rel. 170

```
NaAcAu2
1.0
0.0000 3.7584 3.7584
3.7584 0.0000 3.7584
3.7584 3.7584 0.0000
Na Ac Au
1 1 2
Direct
0.0000 0.0000 0.0000 Na
0.5000 0.5000 0.5000 Ac
0.2500 0.2500 0.2500 Au
0.7500 0.7500 0.7500 Au
```